[1]
Diffraction record for Ba2LuReO6. The powder diffractogram is computed, not measured: it uses a cell relaxed with PBE and Cu Kα (λ = 1.5418 Å).
Peak positions follow from Bragg's law for the DFT cell and can differ from measured ones.

Most intense lines, 10 to 90 degrees two-theta, sorted by position:
| two_theta | intensity | index |
| --- | --- | --- |
| 21.21 | 6 | 2 0 0 |
| 30.17 | 100 | 1 1 1 |
| 43.19 | 28 | 4 0 0 |
| 48.60 | 2 | 4 2 -2 |
| 53.59 | 41 | 2 0 2 |
| 62.73 | 18 | 0 4 0 |
| 67.02 | 1 | 3 3 -3 |
| 71.18 | 18 | 5 1 1 |
| 79.21 | 6 | 4 4 0 |
| 87.03 | 22 | 0 2 4 |

Structural model:
```
data_Ba2LuReO6
_space_group_name_H-M_alt 'C 1 2/m 1'
_space_group_IT_number 12
_space_group_name_Hall '-C 2y'
_cell_length_a 10.259
_cell_length_b 5.924
_cell_length_c 5.925
_cell_angle_alpha 90.00
_cell_angle_beta 125.25
_cell_angle_gamma 90.00
loop_
_atom_site_label
_atom_site_fract_x
_atom_site_fract_y
_atom_site_fract_z
Ba1 0.250 0.000 0.250
Lu1 0.000 0.000 0.500
Re1 0.000 0.500 0.000
O1 0.006 0.262 0.768
O2 0.238 0.500 0.250
```

=====

[2]
Diffraction record for Ba2LuRuO6. The powder diffractogram is computed, not measured: it uses a cell relaxed with PBE and Cu Kα (λ = 1.5418 Å).
Peak positions follow from Bragg's law for the DFT cell and can differ from measured ones.

Most intense lines, 10 to 90 degrees two-theta, sorted by position:
| two_theta | intensity | index |
| --- | --- | --- |
| 18.39 | 3 | 1 1 1 |
| 30.25 | 100 | 2 2 0 |
| 35.64 | 3 | 3 1 1 |
| 43.31 | 29 | 4 0 0 |
| 47.43 | 2 | 3 3 1 |
| 53.74 | 40 | 4 2 2 |
| 62.92 | 18 | 4 4 0 |
| 71.40 | 18 | 6 2 0 |
| 79.46 | 6 | 4 4 4 |
| 87.33 | 22 | 6 4 2 |

Structural model:
```
data_Ba2LuRuO6
_space_group_name_H-M_alt 'F m -3 m'
_space_group_IT_number 225
_space_group_name_Hall '-F 4 2 3'
_cell_length_a 8.356
_cell_length_b 8.356
_cell_length_c 8.356
_cell_angle_alpha 90.00
_cell_angle_beta 90.00
_cell_angle_gamma 90.00
loop_
_atom_site_label
_atom_site_fract_x
_atom_site_fract_y
_atom_site_fract_z
Ba1 0.250 0.250 0.250
Lu1 0.000 0.000 0.000
Ru1 0.000 0.000 0.500
O1 0.000 0.000 0.262
```

=====

[3]
Diffraction record for Ba3LuRu2O9. The powder diffractogram is computed, not measured: it uses a cell relaxed with PBE and Cu Kα (λ = 1.5418 Å).
Peak positions follow from Bragg's law for the DFT cell and can differ from measured ones.

Most intense lines, 10 to 90 degrees two-theta, sorted by position:
| two_theta | intensity | index |
| --- | --- | --- |
| 25.36 | 12 | 1 0 3 |
| 30.21 | 100 | 1 1 0 |
| 35.63 | 6 | 1 0 5 |
| 39.82 | 9 | 2 0 3 |
| 43.26 | 23 | 2 0 4 |
| 53.64 | 28 | 3 0 0 |
| 57.24 | 8 | 2 0 7 |
| 62.78 | 11 | 2 2 0 |
| 71.29 | 12 | 3 1 4 |
| 87.12 | 11 | 4 1 0 |

Structural model:
```
data_Ba3LuRu2O9
_space_group_name_H-M_alt 'P 63/m m c'
_space_group_IT_number 194
_space_group_name_Hall '-P 6c 2c'
_cell_length_a 5.9204
_cell_length_b 5.9204
_cell_length_c 14.4662
_cell_angle_alpha 90.00
_cell_angle_beta 90.00
_cell_angle_gamma 120.00
loop_
_atom_site_label
_atom_site_fract_x
_atom_site_fract_y
_atom_site_fract_z
Ba1 0.0000 0.0000 0.2500
Ba2 0.3333 0.6667 0.0921
Lu1 0.0000 0.0000 0.0000
Ru1 0.3333 0.6667 0.6633
O1 0.0195 0.5098 0.7500
O2 0.1742 0.3485 0.5862
```

=====

Repeat the first record exactly.
Diffraction record for Ba2LuReO6. The powder diffractogram is computed, not measured: it uses a cell relaxed with PBE and Cu Kα (λ = 1.5418 Å).
Peak positions follow from Bragg's law for the DFT cell and can differ from measured ones.

Most intense lines, 10 to 90 degrees two-theta, sorted by position:
| two_theta | intensity | index |
| --- | --- | --- |
| 21.21 | 6 | 2 0 0 |
| 30.17 | 100 | 1 1 1 |
| 43.19 | 28 | 4 0 0 |
| 48.60 | 2 | 4 2 -2 |
| 53.59 | 41 | 2 0 2 |
| 62.73 | 18 | 0 4 0 |
| 67.02 | 1 | 3 3 -3 |
| 71.18 | 18 | 5 1 1 |
| 79.21 | 6 | 4 4 0 |
| 87.03 | 22 | 0 2 4 |

Structural model:
```
data_Ba2LuReO6
_space_group_name_H-M_alt 'C 1 2/m 1'
_space_group_IT_number 12
_space_group_name_Hall '-C 2y'
_cell_length_a 10.259
_cell_length_b 5.924
_cell_length_c 5.925
_cell_angle_alpha 90.00
_cell_angle_beta 125.25
_cell_angle_gamma 90.00
loop_
_atom_site_label
_atom_site_fract_x
_atom_site_fract_y
_atom_site_fract_z
Ba1 0.250 0.000 0.250
Lu1 0.000 0.000 0.500
Re1 0.000 0.500 0.000
O1 0.006 0.262 0.768
O2 0.238 0.500 0.250
```

=====

- Number 2 is which compound?
  Ba2LuRuO6

=====

- Number 3 is which compound?
  Ba3LuRu2O9